Entry 1:
Computed powder diffraction line list of Sr2SmNbO6 for Cu Kα, from DFT lattice parameters and positions (PBE).

Atomic structure:
Lattice parameters (Å, degrees): 8.469 8.469 8.469 90.00 90.00 90.00
Space group Pn-3 (No. 201, origin choice 2)
Symmetry-distinct sites (fractional):
Sr1 0.250 0.250 0.250
Sr2 0.250 0.250 0.750
Sm1 0.000 0.000 0.000
Nb1 0.000 0.000 0.500
O1 0.035 0.543 0.767

Top 12 peaks for 2θ = 15–90°, in order of falling intensity:
| 2θ/deg | I_rel | hkl |
| --- | --- | --- |
| 29.8 | 100 | 2 2 0 |
| 53.0 | 45 | 4 2 2 |
| 42.7 | 29 | 4 0 0 |
| 85.9 | 23 | 6 2 4 |
| 70.3 | 18 | 6 2 0 |
| 62.0 | 17 | 4 4 0 |
| 21.0 | 8 | 2 0 0 |
| 78.2 | 5 | 4 4 4 |
| 48.0 | 3 | 4 2 0 |
| 35.1 | 3 | 3 1 1 |
| 18.1 | 2 | 1 1 1 |
| 46.8 | 2 | 3 3 1 |

Entry 2:
Computed powder diffraction line list of Mg2Si for Cu Kα, from DFT lattice parameters and positions (PBE).

Atomic structure:
Lattice parameters (Å, degrees): 5.663 6.900 7.064 108.57 104.46 101.84
Space group P1 (No. 1)
Symmetry-distinct sites (fractional):
Mg1 0.000 0.000 0.000
Mg2 0.008 0.395 0.848
Mg3 0.209 0.737 0.340
Mg4 0.449 0.136 0.792
Mg5 0.494 0.870 0.057
Mg6 0.550 0.567 0.657
Mg7 0.809 0.919 0.498
Mg8 0.883 0.332 0.336
Si1 0.100 0.711 0.690
Si2 0.385 0.399 0.197
Si3 0.436 0.148 0.395
Si4 0.711 0.566 0.076

Top 12 peaks for 2θ = 15–90°, in order of falling intensity:
| 2θ/deg | I_rel | hkl |
| --- | --- | --- |
| 33.9 | 100 | 1 2 -1 |
| 41.6 | 85 | 1 -3 0 |
| 36.4 | 79 | 1 -2 2 |
| 39.6 | 64 | -2 1 2 |
| 36.7 | 59 | 0 1 2 |
| 38.0 | 55 | 1 2 0 |
| 41.8 | 44 | 0 3 -2 |
| 38.9 | 39 | 1 1 -3 |
| 34.4 | 37 | 2 0 0 |
| 33.3 | 37 | -2 1 1 |
| 32.9 | 36 | 2 -1 0 |
| 35.7 | 34 | 1 2 -2 |

Entry 3:
Computed powder diffraction line list of Gd4InIr for Cu Kα, from DFT lattice parameters and positions (PBE).

Atomic structure:
Lattice parameters (Å, degrees): 13.833 13.833 13.833 90.00 90.00 90.00
Space group F-43m (No. 216)
Symmetry-distinct sites (fractional):
Gd1 0.000 0.000 0.189
Gd2 0.059 0.250 0.750
Gd3 0.098 0.098 0.402
In1 0.168 0.168 0.168
Ir1 0.109 0.109 0.609

Top 12 peaks for 2θ = 15–90°, in order of falling intensity:
| 2θ/deg | I_rel | hkl |
| --- | --- | --- |
| 33.7 | 100 | 5 1 1 |
| 31.7 | 41 | 4 2 2 |
| 36.8 | 40 | 4 4 0 |
| 56.4 | 40 | 6 6 0 |
| 86.8 | 15 | 10 6 4 |
| 28.1 | 15 | 3 3 1 |
| 57.7 | 15 | 5 5 5 |
| 70.4 | 14 | 9 5 1 |
| 85.0 | 13 | 11 5 1 |
| 67.4 | 12 | 9 3 3 |
| 50.7 | 12 | 5 5 3 |
| 38.5 | 10 | 5 3 1 |

Entry 4:
Computed powder diffraction line list of CeInPt for Cu Kα, from DFT lattice parameters and positions (PBE).

Atomic structure:
Lattice parameters (Å, degrees): 7.6325 7.6325 4.0730 90.00 90.00 120.00
Space group P-62m (No. 189)
Symmetry-distinct sites (fractional):
Ce1 0.0000 0.4124 0.0000
In1 0.0000 0.7483 0.5000
Pt1 0.0000 0.0000 0.0000
Pt2 0.3333 0.6667 0.5000

Top 12 peaks for 2θ = 15–90°, in order of falling intensity:
| 2θ/deg | I_rel | hkl |
| --- | --- | --- |
| 35.0 | 100 | 2 0 1 |
| 32.1 | 68 | 1 1 1 |
| 42.4 | 41 | 2 1 1 |
| 41.0 | 41 | 3 0 0 |
| 35.9 | 32 | 2 1 0 |
| 65.7 | 31 | 3 2 1 |
| 44.5 | 26 | 0 0 2 |
| 62.1 | 24 | 3 0 2 |
| 23.3 | 19 | 1 1 0 |
| 58.5 | 15 | 2 1 2 |
| 81.8 | 12 | 4 1 2 |
| 64.6 | 11 | 4 1 0 |

Entry 5:
Computed powder diffraction line list of DyThFe6 for Cu Kα, from DFT lattice parameters and positions (PBE).

Atomic structure:
Lattice parameters (Å, degrees): 5.1457 5.1457 49.7273 90.00 90.00 120.00
Space group R3m (No. 160, hexagonal axes)
Symmetry-distinct sites (fractional):
Dy1 0.0000 0.0000 0.0000
Dy2 0.0000 0.0000 0.1416
Dy3 0.0000 0.0000 0.6423
Th1 0.0000 0.0000 0.0711
Th2 0.0000 0.0000 0.5003
Th3 0.0000 0.0000 0.5718
Fe1 0.0000 0.0000 0.2374
Fe2 0.0000 0.0000 0.3211
Fe3 0.0000 0.0000 0.4048
Fe4 0.0000 0.0000 0.7377
Fe5 0.0000 0.0000 0.8208
Fe6 0.0000 0.0000 0.9046
Fe7 0.9997 0.4998 0.1121
Fe8 0.9997 0.4998 0.5301
Fe9 0.0007 0.5003 0.0300
Fe10 0.1670 0.3340 0.9456

Top 12 peaks for 2θ = 15–90°, in order of falling intensity:
| 2θ/deg | I_rel | hkl |
| --- | --- | --- |
| 41.3 | 100 | 1 1 12 |
| 34.9 | 61 | 1 1 0 |
| 32.2 | 59 | 0 1 14 |
| 35.2 | 40 | 1 0 16 |
| 40.7 | 40 | 2 0 2 |
| 20.2 | 27 | 0 1 2 |
| 66.9 | 23 | 3 0 12 |
| 73.6 | 20 | 2 2 0 |
| 60.9 | 20 | 1 2 14 |
| 62.7 | 15 | 2 1 16 |
| 67.4 | 13 | 0 2 28 |
| 67.2 | 13 | 1 1 30 |